No. 1
Diffraction record for Ac2PbWO8. The X-ray diffraction stick pattern is theoretical, not measured: it uses a crystal structure in Alexandria, relaxed with PBE+U and λ = 1.5418 Å (Cu Kα).
Peak positions follow from Bragg's law for the DFT cell and can differ from measured ones.

Atomic structure:
```
Ac2PbWO8
1.0
4.880 0.000 0.000
-0.402 5.388 0.000
-0.233 -0.272 7.413
Ac Pb W O
2 1 1 8
direct
0.095 0.018 0.268
0.905 0.982 0.732
0.500 0.500 0.000
0.500 0.500 0.500
0.192 0.269 0.544
0.216 0.203 0.975
0.311 0.607 0.270
0.363 0.754 0.661
0.637 0.246 0.339
0.689 0.393 0.730
0.784 0.797 0.025
0.808 0.731 0.456
```

Principal peaks in the range 5° ≤ 2θ ≤ 70°, low angle first:
2θ/deg	intensity
23.71	100
25.59	65
28.74	63
29.78	97
30.83	36
33.28	35
44.21	25
44.87	23
47.81	18
55.28	26



No. 2
Diffraction record for AcPbWO6. The X-ray diffraction stick pattern is theoretical, not measured: it uses a crystal structure in Alexandria, relaxed with PBE+U and λ = 1.5418 Å (Cu Kα).
Peak positions follow from Bragg's law for the DFT cell and can differ from measured ones.

Atomic structure:
```
AcPbWO6
1.0
5.265 0.000 0.000
0.000 5.265 0.000
0.000 0.000 10.550
Ac Pb W O
2 2 2 12
direct
0.000 0.000 0.000
0.500 0.500 0.500
0.000 0.000 0.330
0.500 0.500 0.830
0.000 0.000 0.665
0.500 0.500 0.165
0.173 0.173 0.524
0.181 0.181 0.800
0.237 0.237 0.169
0.263 0.737 0.669
0.319 0.681 0.300
0.327 0.673 0.024
0.673 0.327 0.024
0.681 0.319 0.300
0.737 0.263 0.669
0.763 0.763 0.169
0.819 0.819 0.800
0.827 0.827 0.524
```

Principal peaks in the range 5° ≤ 2θ ≤ 70°, low angle first:
2θ/deg	intensity
23.90	100
30.57	94
34.06	31
46.41	71
48.93	17
55.16	19
58.01	18
58.80	20
63.64	12
69.73	18



What is the formula in the second record? AcPbWO6